Entry 1:
Theoretical X-ray powder pattern
Compound: Sr3TaAs3O
Radiation: copper Kα
Structure: DFT lattice parameters and positions (PBE)

Largest 8 diffraction maxima, low angle first, 2θ from 10° to 80°:
| Position (°2θ) | I/Imax | h k l |
| --- | --- | --- |
| 17.39 | 53.7 | 1 1 1 |
| 25.70 | 44.1 | 0 3 1 |
| 27.27 | 59.4 | 0 0 4 |
| 27.64 | 100.0 | 2 0 0 |
| 33.23 | 47.7 | 0 4 0 |
| 38.10 | 40.2 | 2 3 1 |
| 39.22 | 51.9 | 2 0 4 |
| 42.76 | 58.4 | 0 3 5 |

Structure:
```
data_Sr3TaAs3O
_chemical_formula_sum 'Sr12 Ta4 As12 O4'
_space_group_name_H-M_alt 'P n m a'
_space_group_IT_number 62
_cell_length_a 6.4538
_cell_length_b 10.7841
_cell_length_c 13.0800
_cell_angle_alpha 90.00
_cell_angle_beta 90.00
_cell_angle_gamma 90.00
loop_
_space_group_symop_operation_xyz
'x,y,z'
'-x,-y,-z'
'-x+1/2,-y,z+1/2'
'x+1/2,y,-z+1/2'
'x+1/2,-y+1/2,-z+1/2'
'-x+1/2,y+1/2,z+1/2'
'-x,y+1/2,-z'
'x,-y+1/2,z'
loop_
_atom_site_label
_atom_site_type_symbol
_atom_site_fract_x
_atom_site_fract_y
_atom_site_fract_z
Sr1 Sr 0.2322 0.2500 0.1287
Sr2 Sr 0.2457 0.5429 0.3719
Ta1 Ta 0.1581 0.2500 0.5484
As1 As 0.2363 0.2500 0.3637
As2 As 0.2368 0.5485 0.1237
O1 O 0.1346 0.7500 0.4455
```

Entry 2:
Theoretical X-ray powder pattern
Compound: CoC8N6
Radiation: copper Kα
Structure: DFT lattice parameters and positions (PBE)

Largest 8 diffraction maxima, low angle first, 2θ from 10° to 80°:
| Position (°2θ) | I/Imax | h k l |
| --- | --- | --- |
| 14.09 | 37.4 | 2 0 0 |
| 14.50 | 47.9 | 1 3 0 |
| 15.58 | 60.6 | 0 0 1 |
| 20.07 | 100.0 | 1 3 -1 |
| 23.44 | 57.5 | 2 0 1 |
| 24.78 | 20.8 | 3 3 0 |
| 26.52 | 15.4 | 3 3 -1 |
| 31.61 | 16.8 | 2 6 -1 |

Structure:
```
data_CoC8N6
_chemical_formula_sum 'Co6 C48 N36'
_space_group_name_H-M_alt 'C 1 m 1'
_space_group_IT_number 8
_cell_length_a 12.9321
_cell_length_b 20.9757
_cell_length_c 5.8538
_cell_angle_alpha 90.00
_cell_angle_beta 103.65
_cell_angle_gamma 90.00
loop_
_space_group_symop_operation_xyz
'x,y,z'
'x,-y,z'
'x+1/2,y+1/2,z'
'x+1/2,-y+1/2,z'
loop_
_atom_site_label
_atom_site_type_symbol
_atom_site_fract_x
_atom_site_fract_y
_atom_site_fract_z
Co1 Co 0.0000 0.0000 0.0000
Co2 Co 0.4984 0.1677 0.0425
C1 C 0.0845 0.4434 0.8101
C2 C 0.1032 0.2244 0.8411
C3 C 0.1040 0.1106 0.8237
C4 C 0.1188 0.5000 0.7255
C5 C 0.1547 0.1682 0.8001
C6 C 0.1859 0.5000 0.5672
C7 C 0.2366 0.0000 0.2851
C8 C 0.2369 0.3351 0.2817
C9 C 0.2604 0.1690 0.7787
C10 C 0.3380 0.3363 0.2333
C11 C 0.3420 0.0000 0.2602
C12 C 0.3830 0.3928 0.1732
C13 C 0.3935 0.0573 0.2299
C14 C 0.3929 0.2797 0.2137
N1 N 0.0515 0.3983 0.8864
N2 N 0.0582 0.0640 0.8488
N3 N 0.0577 0.2693 0.8830
N4 N 0.1468 0.0000 0.2966
N5 N 0.1505 0.3333 0.3130
N6 N 0.2416 0.5000 0.4354
N7 N 0.3500 0.1695 0.7695
N8 N 0.4262 0.4366 0.1151
N9 N 0.4390 0.1036 0.1999
N10 N 0.4425 0.2342 0.1941
```

Entry 3:
Theoretical X-ray powder pattern
Compound: Lu2Be2SiO7
Radiation: copper Kα
Structure: DFT lattice parameters and positions (PBE)

Largest 8 diffraction maxima, low angle first, 2θ from 10° to 80°:
| Position (°2θ) | I/Imax | h k l |
| --- | --- | --- |
| 18.78 | 57.1 | 0 0 1 |
| 25.66 | 26.2 | 1 1 1 |
| 27.55 | 54.5 | 2 1 0 |
| 31.13 | 24.7 | 2 0 1 |
| 33.56 | 100.0 | 2 1 1 |
| 43.96 | 19.3 | 3 1 1 |
| 47.66 | 41.4 | 2 1 2 |
| 55.91 | 31.4 | 3 1 2 |

Structure:
```
data_Lu2Be2SiO7
_chemical_formula_sum 'Lu4 Be4 Si2 O14'
_space_group_name_H-M_alt 'P -4 21 m'
_space_group_IT_number 113
_cell_length_a 7.2384
_cell_length_b 7.2384
_cell_length_c 4.7245
_cell_angle_alpha 90.00
_cell_angle_beta 90.00
_cell_angle_gamma 90.00
loop_
_space_group_symop_operation_xyz
'x,y,z'
'y,-x,-z'
'-x,-y,z'
'-y,x,-z'
'x+1/2,-y+1/2,-z'
'y+1/2,x+1/2,z'
'-x+1/2,y+1/2,-z'
'-y+1/2,-x+1/2,z'
loop_
_atom_site_label
_atom_site_type_symbol
_atom_site_fract_x
_atom_site_fract_y
_atom_site_fract_z
Lu1 Lu 0.1573 0.3427 0.0124
Be1 Be 0.1373 0.6373 0.5443
Si1 Si 0.0000 0.0000 0.5000
O1 O 0.0000 0.5000 0.6916
O2 O 0.0845 0.8384 0.7060
O3 O 0.1407 0.6407 0.2072
```

Entry 4:
Theoretical X-ray powder pattern
Compound: SiO2
Radiation: copper Kα
Structure: DFT lattice parameters and positions (PBE)

Largest 8 diffraction maxima, low angle first, 2θ from 10° to 80°:
| Position (°2θ) | I/Imax | h k l |
| --- | --- | --- |
| 16.25 | 74.3 | 1 1 1 |
| 19.55 | 91.2 | 2 0 0 |
| 19.76 | 100.0 | 0 2 1 |
| 23.55 | 40.8 | 1 1 2 |
| 27.93 | 14.6 | 2 2 1 |
| 29.41 | 13.0 | 1 3 1 |
| 32.34 | 25.6 | 3 1 1 |
| 34.36 | 17.7 | 0 2 3 |

Structure:
```
data_SiO2
_chemical_formula_sum 'Si16 O32'
_space_group_name_H-M_alt 'C m c e'
_space_group_IT_number 64
_space_group_name_Hall '-C 2ac 2'
_cell_length_a 9.0867
_cell_length_b 10.3434
_cell_length_c 9.0687
_cell_angle_alpha 90.00
_cell_angle_beta 90.00
_cell_angle_gamma 90.00
loop_
_atom_site_label
_atom_site_type_symbol
_atom_site_fract_x
_atom_site_fract_y
_atom_site_fract_z
Si1 Si 0.1732 0.1337 0.0905
O1 O 0.0000 0.1670 0.1133
O2 O 0.1931 0.0000 0.0000
O3 O 0.2500 0.1173 0.2500
O4 O 0.2500 0.2500 0.0000
```

Entry 5:
Theoretical X-ray powder pattern
Compound: TmGaPd2
Radiation: copper Kα
Structure: DFT lattice parameters and positions (PBE)

Largest 7 diffraction maxima, low angle first, 2θ from 10° to 80°:
| Position (°2θ) | I/Imax | h k l |
| --- | --- | --- |
| 23.46 | 10.3 | 1 1 1 |
| 38.78 | 100.0 | 2 2 0 |
| 45.82 | 5.4 | 3 1 1 |
| 56.00 | 17.0 | 4 0 0 |
| 61.54 | 2.3 | 3 3 1 |
| 70.20 | 34.1 | 4 2 2 |
| 75.16 | 1.8 | 5 1 1 |

Structure:
```
data_TmGaPd2
_chemical_formula_sum 'Tm4 Ga4 Pd8'
_space_group_name_H-M_alt 'F m -3 m'
_space_group_IT_number 225
_space_group_name_Hall '-F 4 2 3'
_cell_length_a 6.5681
_cell_length_b 6.5681
_cell_length_c 6.5681
_cell_angle_alpha 90.00
_cell_angle_beta 90.00
_cell_angle_gamma 90.00
loop_
_atom_site_label
_atom_site_type_symbol
_atom_site_fract_x
_atom_site_fract_y
_atom_site_fract_z
Tm1 Tm 0.0000 0.0000 0.0000
Ga1 Ga 0.0000 0.0000 0.5000
Pd1 Pd 0.2500 0.2500 0.2500
```

Entry 6:
Theoretical X-ray powder pattern
Compound: ErSiAg
Radiation: copper Kα
Structure: DFT lattice parameters and positions (PBE)

Largest 8 diffraction maxima, low angle first, 2θ from 10° to 80°:
| Position (°2θ) | I/Imax | h k l |
| --- | --- | --- |
| 23.28 | 30.6 | 1 0 0 |
| 34.34 | 100.0 | 1 0 1 |
| 40.90 | 47.3 | 1 1 0 |
| 51.07 | 8.2 | 0 0 2 |
| 54.44 | 26.4 | 2 0 1 |
| 67.41 | 21.0 | 1 1 2 |
| 70.28 | 24.3 | 2 1 1 |
| 74.49 | 7.9 | 3 0 0 |

Structure:
```
data_ErSiAg
_chemical_formula_sum 'Er1 Si1 Ag1'
_space_group_name_H-M_alt 'P -6 m 2'
_space_group_IT_number 187
_space_group_name_Hall 'P -6 2'
_cell_length_a 4.4127
_cell_length_b 4.4127
_cell_length_c 3.5768
_cell_angle_alpha 90.00
_cell_angle_beta 90.00
_cell_angle_gamma 120.00
loop_
_atom_site_label
_atom_site_type_symbol
_atom_site_fract_x
_atom_site_fract_y
_atom_site_fract_z
Er1 Er 0.0000 0.0000 0.0000
Si1 Si 0.6667 0.3333 0.5000
Ag1 Ag 0.3333 0.6667 0.5000
```

Entry 7:
Theoretical X-ray powder pattern
Compound: Ho2S3
Radiation: copper Kα
Structure: DFT lattice parameters and positions (PBE)

Largest 8 diffraction maxima, low angle first, 2θ from 10° to 80°:
| Position (°2θ) | I/Imax | h k l |
| --- | --- | --- |
| 17.74 | 41.8 | 0 1 2 |
| 24.42 | 96.6 | 1 0 4 |
| 25.94 | 100.0 | 1 1 0 |
| 35.92 | 45.6 | 0 2 4 |
| 39.33 | 83.8 | 1 1 6 |
| 44.84 | 45.6 | 2 1 4 |
| 45.75 | 48.0 | 3 0 0 |
| 51.91 | 24.9 | 1 0 10 |

Structure:
```
data_Ho2S3
_chemical_formula_sum 'Ho12 S18'
_space_group_name_H-M_alt 'R -3 c'
_space_group_IT_number 167
_space_group_name_Hall '-R 3 2"c'
_cell_length_a 6.8708
_cell_length_b 6.8708
_cell_length_c 18.4435
_cell_angle_alpha 90.00
_cell_angle_beta 90.00
_cell_angle_gamma 120.00
loop_
_atom_site_label
_atom_site_type_symbol
_atom_site_fract_x
_atom_site_fract_y
_atom_site_fract_z
Ho1 Ho 0.0000 0.0000 0.1498
S1 S 0.0000 0.3014 0.2500
```

Entry 8:
Theoretical X-ray powder pattern
Compound: Y3Ge13Pt4
Radiation: copper Kα
Structure: DFT lattice parameters and positions (PBE)

Largest 8 diffraction maxima, low angle first, 2θ from 10° to 80°:
| Position (°2θ) | I/Imax | h k l |
| --- | --- | --- |
| 19.43 | 100.0 | 2 0 2 |
| 27.55 | 41.0 | 0 2 4 |
| 34.05 | 75.3 | 0 4 2 |
| 35.34 | 55.6 | 1 2 5 |
| 35.51 | 47.0 | 3 2 1 |
| 39.45 | 81.1 | 4 0 4 |
| 44.25 | 48.3 | 2 2 6 |
| 48.91 | 92.9 | 6 0 0 |

Structure:
```
data_Y3Ge13Pt4
_chemical_formula_sum 'Y18 Ge78 Pt24'
_space_group_name_H-M_alt 'R 3 c'
_space_group_IT_number 161
_space_group_name_Hall 'R 3 -2"c'
_cell_length_a 12.8899
_cell_length_b 12.8899
_cell_length_c 15.9028
_cell_angle_alpha 90.00
_cell_angle_beta 90.00
_cell_angle_gamma 120.00
loop_
_atom_site_label
_atom_site_type_symbol
_atom_site_fract_x
_atom_site_fract_y
_atom_site_fract_z
Y1 Y 0.0018 0.2513 0.0000
Ge1 Ge 0.0000 0.0000 0.2481
Ge2 Ge 0.0136 0.1507 0.6125
Ge3 Ge 0.0410 0.4362 0.8574
Ge4 Ge 0.1621 0.4915 0.0868
Ge5 Ge 0.1716 0.4568 0.4650
Pt1 Pt 0.0000 0.0000 0.9998
Pt2 Pt 0.1637 0.3339 0.8338
```